For SrYCoO4, a PBE+U-relaxed structure gives the simulated XRD peak list in this record (Cu Kα (weighted mean of Kα1 and Kα2)).

The 12 most intense peaks (2θ from 5° to 70°), in order of rising 2θ:
2θ 31.91, I 100.0, (1 2 2); 2θ 32.07, I 99.2, (1 2 -2); 2θ 32.69, I 68.4, (0 0 4); 2θ 33.54, I 68.4, (2 1 0); 2θ 44.15, I 27.3, (0 3 0); 2θ 44.27, I 18.9, (0 2 -4); 2θ 44.93, I 19.3, (2 -1 0); 2θ 47.31, I 38.0, (2 1 4); 2θ 47.77, I 36.0, (2 1 -4); 2θ 57.71, I 18.7, (1 2 6); 2θ 58.06, I 18.7, (-1 1 6); 2θ 58.84, I 18.4, (3 3 2)

Cell: 5.344 6.708 10.957 Å, 89.74 89.48 66.55°
Fractional coordinates of all 28 atoms:
Sr1 0.000 0.000 0.000
Sr2 0.006 0.000 0.502
Sr3 0.500 0.000 0.756
Sr4 0.510 0.998 0.261
Y1 0.273 0.426 0.016
Y2 0.303 0.433 0.517
Y3 0.777 0.427 0.243
Y4 0.797 0.432 0.742
Co1 0.145 0.709 0.755
Co2 0.156 0.704 0.255
Co3 0.646 0.711 0.006
Co4 0.650 0.709 0.504
O1 0.275 0.385 0.725
O2 0.364 0.374 0.216
O3 0.390 0.716 0.633
O4 0.397 0.727 0.125
O5 0.420 0.668 0.377
O6 0.426 0.639 0.879
O7 0.468 0.072 0.492
O8 0.469 0.069 0.986
O9 0.781 0.381 0.538
O10 0.852 0.380 0.036
O11 0.893 0.718 0.630
O12 0.904 0.677 0.880
O13 0.905 0.718 0.133
O14 0.942 0.636 0.379
O15 0.968 0.068 0.768
O16 0.972 0.076 0.273